# 1
Starting from DFT lattice parameters and positions (PBE+U), the X-ray diffraction stick pattern of Na2MgMn4O8 was simulated for CuKα.
Intensities are scaled so that the largest is 100.

Cell: 6.163 6.163 6.203 Å, 112.62 112.62 56.86°
Sites, in units of the cell vectors:
Na 0.149 0.149 0.471
Na 0.851 0.851 0.529
Mg 0.000 0.000 0.000
Mn 0.000 0.500 0.000
Mn 0.500 0.000 0.000
Mn 0.500 0.500 0.000
Mn 0.500 0.500 0.500
O 0.223 0.223 0.183
O 0.254 0.721 0.217
O 0.279 0.746 0.783
O 0.300 0.300 0.840
O 0.700 0.700 0.160
O 0.721 0.254 0.217
O 0.746 0.279 0.783
O 0.777 0.777 0.817

The 10 most intense peaks (15° ≤ 2θ ≤ 90°), most intense first:
2θ/deg, intensity
15.9, 100
42.6, 89
36.9, 60
54.4, 55
35.7, 48
60.8, 44
17.6, 39
32.1, 34
31.5, 30
46.7, 24

---

# 2
Starting from DFT lattice parameters and positions (PBE+U), the X-ray diffraction stick pattern of Li4Cr3FeO8 was simulated for CuKα.
Intensities are scaled so that the largest is 100.

Cell: 5.110 5.173 5.944 Å, 73.30 90.00 80.59°
Sites, in units of the cell vectors:
Li 0.249 0.000 0.375
Li 0.250 0.000 0.875
Li 0.750 0.000 0.125
Li 0.751 0.000 0.625
Cr 0.000 0.500 0.000
Cr 0.500 0.500 0.249
Cr 0.500 0.500 0.751
Fe 0.000 0.500 0.500
O 0.129 0.728 0.192
O 0.129 0.728 0.694
O 0.371 0.274 0.056
O 0.375 0.273 0.557
O 0.625 0.727 0.443
O 0.629 0.726 0.944
O 0.871 0.272 0.306
O 0.871 0.272 0.808

The 10 most intense peaks (15° ≤ 2θ ≤ 90°), most intense first:
2θ/deg, intensity
18.2, 100
43.0, 54
35.5, 27
43.1, 27
62.9, 15
62.5, 15
62.2, 14
56.8, 14
35.7, 14
66.1, 9

---

# 3
Starting from DFT lattice parameters and positions (PBE+U), the X-ray diffraction stick pattern of Li9Mn2Co5O16 was simulated for CuKα.
Intensities are scaled so that the largest is 100.

Cell: 5.865 2.886 17.315 Å, 90.00 90.36 90.00°
Sites, in units of the cell vectors:
Li 0.000 0.000 0.000
Li 0.001 0.000 0.242
Li 0.245 0.500 0.362
Li 0.245 0.500 0.890
Li 0.501 0.000 0.001
Li 0.502 0.000 0.494
Li 0.751 0.500 0.630
Li 0.753 0.500 0.115
Li 0.996 0.000 0.759
Mn 0.252 0.500 0.628
Mn 0.993 0.000 0.497
Co 0.242 0.500 0.110
Co 0.489 0.000 0.244
Co 0.514 0.000 0.757
Co 0.748 0.500 0.366
Co 0.759 0.500 0.891
O 0.023 0.000 0.124
O 0.031 0.000 0.629
O 0.225 0.500 0.511
O 0.253 0.500 0.006
O 0.267 0.500 0.247
O 0.271 0.500 0.739
O 0.474 0.000 0.623
O 0.476 0.000 0.127
O 0.515 0.000 0.373
O 0.517 0.000 0.869
O 0.732 0.500 0.251
O 0.737 0.500 0.746
O 0.747 0.500 0.994
O 0.768 0.500 0.500
O 0.981 0.000 0.874
O 0.983 0.000 0.373

The 10 most intense peaks (15° ≤ 2θ ≤ 90°), most intense first:
2θ/deg, intensity
18.2, 100
44.0, 53
41.7, 27
36.2, 25
34.7, 16
62.1, 14
62.4, 13
57.9, 9
47.1, 9
67.8, 8